No. 1
Theoretical powder XRD pattern
Compound: Li4MnCo3O8
Radiation: copper Kα
Structure: a cell relaxed with PBE+U
Kinematic intensities with the Lorentz-polarization factor, no thermal factor.

Cell and atoms:
Cell: 2.937 5.186 9.843 Å, 80.36 86.45 88.63°
Space group P-1 (No. 2)
Asymmetric unit:
Li (0.000, 0.000, 0.000) [1 per cell]
Li (0.000, 0.500, 0.500) [1 per cell]
Li (0.499, 0.250, 0.749) [2 per cell]
Mn (0.500, 0.000, 0.500) [1 per cell]
Co (0.001, 0.753, 0.751) [2 per cell]
Co (0.500, 0.500, 0.000) [1 per cell]
O (0.010, 0.609, 0.119) [2 per cell]
O (0.033, 0.115, 0.624) [2 per cell]
O (0.490, 0.645, 0.630) [2 per cell]
O (0.491, 0.139, 0.130) [2 per cell]

Peak list (8 most intense, 10° ≤ 2θ ≤ 90°, sorted by position)
- 2θ 18.22, rel. 100
- 2θ 34.83, rel. 17
- 2θ 35.26, rel. 16
- 2θ 36.76, rel. 12
- 2θ 37.08, rel. 10
- 2θ 42.01, rel. 29
- 2θ 42.65, rel. 28
- 2θ 44.83, rel. 23

No. 2
Theoretical powder XRD pattern
Compound: Li3MnCoO5
Radiation: copper Kα
Structure: a cell relaxed with PBE+U
Kinematic intensities with the Lorentz-polarization factor, no thermal factor.

Cell and atoms:
Cell: 24.084 2.917 5.089 Å, 90.00 94.68 90.00°
Space group C2/m (No. 12)
Asymmetric unit:
Li (0.000, 0.000, 0.000) [2 per cell]
Li (0.000, 0.500, 0.500) [2 per cell]
Li (0.097, 0.000, 0.705) [4 per cell]
Li (0.200, 0.500, 0.895) [4 per cell]
Mn (0.097, 0.500, 0.188) [4 per cell]
Co (0.200, 0.000, 0.403) [4 per cell]
O (0.055, 0.500, 0.875) [4 per cell]
O (0.056, 0.000, 0.334) [4 per cell]
O (0.146, 0.000, 0.073) [4 per cell]
O (0.152, 0.500, 0.523) [4 per cell]
O (0.249, 0.500, 0.263) [4 per cell]

Peak list (8 most intense, 10° ≤ 2θ ≤ 90°, sorted by position)
- 2θ 18.43, rel. 100
- 2θ 36.02, rel. 39
- 2θ 43.60, rel. 60
- 2θ 43.80, rel. 29
- 2θ 57.52, rel. 10
- 2θ 63.44, rel. 15
- 2θ 63.59, rel. 15
- 2θ 67.03, rel. 9

No. 3
Theoretical powder XRD pattern
Compound: Li7Mn2Co3O12
Radiation: copper Kα
Structure: a cell relaxed with PBE+U
Kinematic intensities with the Lorentz-polarization factor, no thermal factor.

Cell and atoms:
Cell: 5.907 6.565 12.596 Å, 101.56 90.13 115.93°
Space group P-1 (No. 2)
Asymmetric unit:
Li (0.000, 0.000, 0.000) [1 per cell]
Li (0.000, 0.500, 0.500) [1 per cell]
Li (0.073, 0.169, 0.337) [2 per cell]
Li (0.075, 0.670, 0.837) [2 per cell]
Li (0.243, 0.499, 0.002) [2 per cell]
Li (0.245, 0.998, 0.502) [2 per cell]
Li (0.402, 0.824, 0.663) [2 per cell]
Li (0.403, 0.323, 0.164) [2 per cell]
Mn (0.164, 0.337, 0.665) [2 per cell]
Mn (0.166, 0.838, 0.166) [2 per cell]
Co (0.328, 0.163, 0.838) [2 per cell]
Co (0.328, 0.662, 0.337) [2 per cell]
Co (0.500, 0.000, 0.000) [1 per cell]
Co (0.500, 0.500, 0.500) [1 per cell]
O (0.040, 0.563, 0.669) [2 per cell]
O (0.041, 0.063, 0.169) [2 per cell]
O (0.137, 0.263, 0.512) [2 per cell]
O (0.138, 0.764, 0.011) [2 per cell]
O (0.182, 0.394, 0.828) [2 per cell]
O (0.183, 0.894, 0.327) [2 per cell]
O (0.293, 0.107, 0.674) [2 per cell]
O (0.294, 0.606, 0.174) [2 per cell]
O (0.385, 0.738, 0.492) [2 per cell]
O (0.386, 0.234, 0.990) [2 per cell]
O (0.487, 0.438, 0.333) [2 per cell]
O (0.487, 0.936, 0.832) [2 per cell]

Peak list (8 most intense, 10° ≤ 2θ ≤ 90°, sorted by position)
- 2θ 18.44, rel. 100
- 2θ 35.59, rel. 13
- 2θ 35.95, rel. 13
- 2θ 43.02, rel. 30
- 2θ 43.66, rel. 29
- 2θ 44.27, rel. 27
- 2θ 62.96, rel. 16
- 2θ 63.71, rel. 15

No. 4
Theoretical powder XRD pattern
Compound: Li7Mn4CoO12
Radiation: copper Kα
Structure: a cell relaxed with PBE+U
Kinematic intensities with the Lorentz-polarization factor, no thermal factor.

Cell and atoms:
Cell: 15.731 2.874 11.720 Å, 90.00 124.40 90.00°
Space group C2/m (No. 12)
Asymmetric unit:
Li (0.000, 0.000, 0.000) [2 per cell]
Li (0.002, 0.000, 0.758) [4 per cell]
Li (0.160, 0.500, 0.244) [4 per cell]
Li (0.167, 0.500, 0.746) [4 per cell]
Mn (0.162, 0.500, 0.997) [4 per cell]
Mn (0.164, 0.500, 0.497) [4 per cell]
Co (0.000, 0.000, 0.500) [2 per cell]
O (0.006, 0.500, 0.614) [4 per cell]
O (0.021, 0.500, 0.888) [4 per cell]
O (0.160, 0.000, 0.380) [4 per cell]
O (0.170, 0.000, 0.114) [4 per cell]
O (0.170, 0.000, 0.616) [4 per cell]
O (0.176, 0.000, 0.894) [4 per cell]

Peak list (8 most intense, 10° ≤ 2θ ≤ 90°, sorted by position)
- 2θ 11.34, rel. 14
- 2θ 18.35, rel. 100
- 2θ 34.55, rel. 19
- 2θ 36.30, rel. 23
- 2θ 41.75, rel. 33
- 2θ 44.14, rel. 57
- 2θ 62.20, rel. 16
- 2θ 62.56, rel. 16

No. 5
Theoretical powder XRD pattern
Compound: Li7Mn2Co3O12
Radiation: copper Kα
Structure: a cell relaxed with PBE+U
Kinematic intensities with the Lorentz-polarization factor, no thermal factor.

Cell and atoms:
Cell: 15.118 2.962 12.043 Å, 90.00 126.33 90.00°
Space group C2/m (No. 12)
Asymmetric unit:
Li (0.000, 0.000, 0.000) [2 per cell]
Li (0.009, 0.000, 0.763) [4 per cell]
Li (0.154, 0.500, 0.222) [4 per cell]
Li (0.172, 0.500, 0.769) [4 per cell]
Mn (0.166, 0.500, 0.500) [4 per cell]
Co (0.000, 0.000, 0.500) [2 per cell]
Co (0.161, 0.500, 0.001) [4 per cell]
O (0.011, 0.500, 0.388) [4 per cell]
O (0.015, 0.500, 0.882) [4 per cell]
O (0.167, 0.000, 0.119) [4 per cell]
O (0.172, 0.000, 0.395) [4 per cell]
O (0.174, 0.000, 0.612) [4 per cell]
O (0.179, 0.000, 0.889) [4 per cell]

Peak list (8 most intense, 10° ≤ 2θ ≤ 90°, sorted by position)
- 2θ 18.29, rel. 100
- 2θ 35.57, rel. 28
- 2θ 36.48, rel. 12
- 2θ 42.83, rel. 59
- 2θ 44.64, rel. 25
- 2θ 56.47, rel. 10
- 2θ 63.42, rel. 14
- 2θ 63.73, rel. 14

No. 6
Theoretical powder XRD pattern
Compound: Li4MnCo2O7
Radiation: copper Kα
Structure: a cell relaxed with PBE+U
Kinematic intensities with the Lorentz-polarization factor, no thermal factor.

Cell and atoms:
Cell: 5.238 2.880 34.588 Å, 90.00 93.86 90.00°
Space group Cm (No. 8)
Asymmetric unit:
Li (0.000, 0.000, 0.000) [2 per cell]
Li (0.001, 0.000, 0.499) [2 per cell]
Li (0.070, 0.500, 0.356) [2 per cell]
Li (0.143, 0.000, 0.213) [2 per cell]
Li (0.211, 0.500, 0.070) [2 per cell]
Li (0.291, 0.000, 0.932) [2 per cell]
Li (0.357, 0.500, 0.784) [2 per cell]
Li (0.424, 0.000, 0.639) [2 per cell]
Mn (0.075, 0.500, 0.856) [2 per cell]
Mn (0.140, 0.000, 0.713) [2 per cell]
Co (0.214, 0.500, 0.570) [2 per cell]
Co (0.286, 0.000, 0.428) [2 per cell]
Co (0.356, 0.500, 0.285) [2 per cell]
Co (0.430, 0.000, 0.143) [2 per cell]
O (0.004, 0.500, 0.252) [2 per cell]
O (0.024, 0.500, 0.746) [2 per cell]
O (0.067, 0.000, 0.603) [2 per cell]
O (0.074, 0.000, 0.112) [2 per cell]
O (0.141, 0.500, 0.963) [2 per cell]
O (0.148, 0.500, 0.460) [2 per cell]
O (0.197, 0.000, 0.823) [2 per cell]
O (0.209, 0.000, 0.317) [2 per cell]
O (0.260, 0.500, 0.680) [2 per cell]
O (0.287, 0.500, 0.175) [2 per cell]
O (0.361, 0.000, 0.036) [2 per cell]
O (0.362, 0.000, 0.538) [2 per cell]
O (0.424, 0.500, 0.395) [2 per cell]
O (0.446, 0.500, 0.887) [2 per cell]

Peak list (8 most intense, 10° ≤ 2θ ≤ 90°, sorted by position)
- 2θ 17.99, rel. 100
- 2θ 34.60, rel. 18
- 2θ 36.21, rel. 25
- 2θ 41.60, rel. 33
- 2θ 43.76, rel. 55
- 2θ 61.72, rel. 16
- 2θ 62.20, rel. 17
- 2θ 64.73, rel. 12

No. 7
Theoretical powder XRD pattern
Compound: Li4MnCo2O7
Radiation: copper Kα
Structure: a cell relaxed with PBE+U
Kinematic intensities with the Lorentz-polarization factor, no thermal factor.

Cell and atoms:
Cell: 5.022 5.117 10.170 Å, 100.68 98.73 99.73°
Space group P1 (No. 1)
Asymmetric unit:
Li (0.000, 0.000, 0.000) [1 per cell]
Li (0.009, 0.998, 0.503) [1 per cell]
Li (0.163, 0.273, 0.296) [1 per cell]
Li (0.276, 0.561, 0.564) [1 per cell]
Li (0.417, 0.853, 0.851) [1 per cell]
Li (0.578, 0.142, 0.148) [1 per cell]
Li (0.731, 0.425, 0.430) [1 per cell]
Li (0.873, 0.716, 0.703) [1 per cell]
Mn (0.573, 0.138, 0.637) [1 per cell]
Mn (0.711, 0.429, 0.923) [1 per cell]
Co (0.141, 0.285, 0.781) [1 per cell]
Co (0.284, 0.577, 0.074) [1 per cell]
Co (0.429, 0.846, 0.362) [1 per cell]
Co (0.858, 0.717, 0.222) [1 per cell]
O (0.053, 0.613, 0.888) [1 per cell]
O (0.088, 0.638, 0.382) [1 per cell]
O (0.221, 0.906, 0.174) [1 per cell]
O (0.235, 0.962, 0.683) [1 per cell]
O (0.359, 0.242, 0.952) [1 per cell]
O (0.388, 0.203, 0.473) [1 per cell]
O (0.493, 0.470, 0.753) [1 per cell]
O (0.501, 0.500, 0.241) [1 per cell]
O (0.634, 0.807, 0.541) [1 per cell]
O (0.641, 0.756, 0.025) [1 per cell]
O (0.782, 0.037, 0.313) [1 per cell]
O (0.790, 0.101, 0.814) [1 per cell]
O (0.911, 0.371, 0.090) [1 per cell]
O (0.923, 0.341, 0.619) [1 per cell]

Peak list (8 most intense, 10° ≤ 2θ ≤ 90°, sorted by position)
- 2θ 18.32, rel. 100
- 2θ 35.87, rel. 13
- 2θ 36.33, rel. 25
- 2θ 43.26, rel. 27
- 2θ 43.88, rel. 26
- 2θ 44.03, rel. 27
- 2θ 47.71, rel. 8
- 2θ 63.82, rel. 7

No. 8
Theoretical powder XRD pattern
Compound: Li3MnCoO5
Radiation: copper Kα
Structure: a cell relaxed with PBE+U
Kinematic intensities with the Lorentz-polarization factor, no thermal factor.

Cell and atoms:
Cell: 20.868 2.910 5.908 Å, 90.00 98.11 90.00°
Space group C2/m (No. 12)
Asymmetric unit:
Li (0.000, 0.000, 0.000) [2 per cell]
Li (0.000, 0.000, 0.500) [2 per cell]
Li (0.093, 0.500, 0.290) [4 per cell]
Li (0.200, 0.000, 0.099) [4 per cell]
Mn (0.095, 0.500, 0.803) [4 per cell]
Co (0.200, 0.000, 0.602) [4 per cell]
O (0.008, 0.500, 0.753) [4 per cell]
O (0.101, 0.000, 0.022) [4 per cell]
O (0.102, 0.000, 0.579) [4 per cell]
O (0.195, 0.500, 0.831) [4 per cell]
O (0.201, 0.500, 0.366) [4 per cell]

Peak list (8 most intense, 10° ≤ 2θ ≤ 90°, sorted by position)
- 2θ 15.15, rel. 9
- 2θ 18.46, rel. 100
- 2θ 35.98, rel. 13
- 2θ 36.08, rel. 25
- 2θ 43.66, rel. 60
- 2θ 43.82, rel. 29
- 2θ 57.59, rel. 11
- 2θ 63.58, rel. 31

Q: What is the formula in the third record?
A: Li7Mn2Co3O12